Structure and calculated powder XRD pattern of Dy3Sb2Te (a cell relaxed with GGA-PBE; λ = 1.5418 Å (Cu Kα)).
Neutral-atom scattering factors, no anomalous dispersion.

Crystal structure
a = 4.3797 Å, b = 4.3797 Å, c = 10.7004 Å
α = 90.00°, β = 90.00°, γ = 120.00°
Space group P-3m1 (No. 164)
Unique sites:
Dy1 0.0000 0.0000 0.0000 x1
Dy2 0.3333 0.6667 0.6767 x2
Sb1 0.3333 0.6667 0.1658 x2
Te1 0.0000 0.0000 0.5000 x1

Top 10 peaks for 2θ = 15–90°, sorted by position:
hkl  2θ/deg  Rel. int.
0 1 2  28.85  100
1 1 0  41.26  76
2 0 2  51.10  20
0 0 6  51.22  6
0 2 4  59.77  13
1 2 2  67.66  17
1 1 6  67.76  17
3 0 0  75.18  19
0 1 8  75.35  6
2 2 0  89.51  4